(1)
For La3GaFeS7, DFT lattice parameters and positions (GGA-PBE) gives the computed PXRD pattern in this record (λ = 1.5418 Å (Cu Kα)).
Lines closer than 0.1° are merged.

Structure:
```
La3GaFeS7
1.0
10.2013 0.0000 0.0000
0.0000 5.9850 0.0000
-5.0664 0.0000 8.9306
La Ga Fe S
6 2 2 14
Cartesian
-0.5151 5.9823 3.2064
2.0836 2.9873 1.1126
-0.0274 2.9925 6.5408
5.1622 0.0000 2.3898
3.0512 5.9799 7.8180
5.6499 2.9897 5.7242
-2.5170 5.4915 7.4399
7.6518 2.4990 1.4907
2.5681 1.6714 4.4645
2.5668 4.6639 4.4661
-4.4911 4.6074 8.2124
-2.2051 4.6122 5.3391
-2.5232 1.7516 7.4385
0.6749 3.2172 3.6731
2.2772 0.2243 2.3874
-0.8632 4.6078 8.7710
0.9652 0.2214 5.7374
4.1696 3.2139 3.1932
5.9980 1.6153 0.1596
2.8576 3.2169 6.5432
4.4600 0.2247 5.2575
7.6581 4.7441 1.4921
7.3400 1.6196 3.5915
9.6259 1.6149 0.7182
```

Principal peaks in the range 2θ = 10–80°, by intensity:
2θ (°)  d (Å)  I/Imax
25.01  3.560  100
24.88  3.579  50
36.17  2.483  40
33.85  2.648  32
17.87  4.964  31
36.26  2.477  31
39.66  2.272  30
34.71  2.585  29
26.47  3.367  29
22.80  3.900  26

(2)
For ZnCu2SnS4, DFT lattice parameters and positions (GGA-PBE) gives the computed PXRD pattern in this record (λ = 1.5418 Å (Cu Kα)).
Lines closer than 0.1° are merged.

Structure:
```
ZnCu2SnS4
1.0
-2.7260 2.7260 5.4747
2.7260 -2.7260 5.4747
2.7260 2.7260 -5.4747
Zn Cu Sn S
1 2 1 4
Cartesian
0.0000 0.0000 0.0000
2.7260 0.0000 2.7373
0.0000 2.7260 2.7373
0.0000 0.0000 5.4747
1.3207 1.3207 -1.4614
1.4052 -1.4052 6.9361
1.4052 1.4052 4.0133
-1.4052 1.4052 6.9361
```

Principal peaks in the range 2θ = 10–80°, by intensity:
2θ (°)  d (Å)  I/Imax
28.31  3.152  100
47.05  1.932  39
55.91  1.644  28
47.15  1.928  20
55.73  1.649  14
75.93  1.253  11
32.86  2.726  10
68.89  1.363  6
76.08  1.251  5
32.72  2.737  5

(3)
For CaCuO3, DFT lattice parameters and positions (GGA-PBE) gives the computed PXRD pattern in this record (λ = 1.5418 Å (Cu Kα)).
Lines closer than 0.1° are merged.

Structure:
```
CaCuO3
1.0
3.8036 0.0000 0.0000
0.0000 3.8036 0.0000
0.0000 0.0000 3.8036
Ca Cu O
1 1 3
Cartesian
0.0000 0.0000 0.0000
1.9018 1.9018 1.9018
0.0000 1.9018 1.9018
1.9018 0.0000 1.9018
1.9018 1.9018 0.0000
```

Principal peaks in the range 2θ = 10–80°, by intensity:
2θ (°)  d (Å)  I/Imax
33.31  2.690  100
47.83  1.902  47
59.53  1.553  35
23.39  3.804  27
69.96  1.345  25
79.72  1.203  14
53.90  1.701  10
74.90  1.268  4
41.10  2.196  2

(4)
For BaH2C2O4, DFT lattice parameters and positions (GGA-PBE) gives the computed PXRD pattern in this record (λ = 1.5418 Å (Cu Kα)).
Lines closer than 0.1° are merged.

Structure:
```
BaH2C2O4
1.0
6.9472 0.0000 0.0000
0.0000 7.7440 0.0000
0.0000 0.0000 10.3496
Ba H C O
4 8 8 16
Cartesian
0.8623 0.7052 3.9673
2.6113 7.0388 9.1422
4.3359 3.1668 6.3823
6.0849 4.5772 1.2075
0.6755 3.5728 7.9343
1.5086 1.9483 10.3406
1.9650 5.7957 5.1658
2.7981 4.1712 2.7595
4.1491 0.2992 2.4153
4.9821 1.9237 0.0090
5.4386 5.8203 5.1838
6.2717 7.4448 7.5901
0.2183 4.5737 8.1148
1.0106 1.4355 0.8353
2.4630 6.3085 6.0101
3.2553 3.1703 2.9399
3.6919 7.0423 2.2349
4.4842 2.4365 9.5144
5.9366 5.3075 4.3396
6.7289 0.7017 7.4097
0.3169 2.1629 1.6252
0.6183 5.2031 9.1694
0.6458 1.1075 8.2256
1.1875 0.1884 0.9704
2.2861 7.5556 6.1452
2.8277 6.6365 3.0508
2.8553 2.5409 3.9946
3.1567 5.5811 6.8000
3.7905 1.7091 8.7245
4.0919 6.4129 1.1802
4.1194 2.7645 2.1240
4.6611 3.6836 9.3793
5.7597 4.0604 4.2045
6.3013 4.9795 7.2989
6.3289 1.3311 6.3550
6.6303 6.0349 3.5496
```

Principal peaks in the range 2θ = 10–80°, by intensity:
2θ (°)  d (Å)  I/Imax
17.15  5.171  100
19.19  4.626  83
38.93  2.313  69
26.35  3.382  60
20.64  4.303  51
21.41  4.150  42
29.48  3.030  41
38.57  2.334  37
31.17  2.870  33
28.89  3.090  32

(5)
For VN, DFT lattice parameters and positions (GGA-PBE) gives the computed PXRD pattern in this record (λ = 1.5418 Å (Cu Kα)).
Lines closer than 0.1° are merged.

Structure:
```
VN
1.0
2.7441 0.0000 0.0000
-1.3721 2.3765 0.0000
0.0000 0.0000 2.6509
V N
1 1
Cartesian
0.0000 0.0000 0.0000
1.3721 0.7922 1.3254
```

Principal peaks in the range 2θ = 10–80°, by intensity:
2θ (°)  d (Å)  I/Imax
51.66  1.770  100
37.86  2.376  83
33.81  2.651  25
68.37  1.372  22
78.50  1.219  13
71.13  1.325  7

(6)
For Th3B, DFT lattice parameters and positions (GGA-PBE) gives the computed PXRD pattern in this record (λ = 1.5418 Å (Cu Kα)).
Lines closer than 0.1° are merged.

Structure:
```
Th3B
1.0
4.6609 0.0000 0.0000
0.0000 4.6609 0.0000
0.0000 0.0000 4.6609
Th B
3 1
Cartesian
0.0000 0.0000 2.3305
0.0000 2.3305 0.0000
2.3305 0.0000 0.0000
2.3305 2.3305 2.3305
```

Principal peaks in the range 2θ = 10–80°, by intensity:
2θ (°)  d (Å)  I/Imax
33.30  2.691  100
38.63  2.330  50
66.54  1.405  42
55.79  1.648  36
19.04  4.661  29
27.06  3.296  25
43.41  2.084  15
69.91  1.345  12
47.80  1.903  11
59.50  1.554  8

(7)
For Al2Si3H8N2O10, DFT lattice parameters and positions (GGA-PBE) gives the computed PXRD pattern in this record (λ = 1.5418 Å (Cu Kα)).
Lines closer than 0.1° are merged.

Structure:
```
Al2Si3H8N2O10
1.0
0.0000 9.1047 3.3400
9.0917 0.0000 3.3400
9.0917 9.1047 0.0000
Al Si H N O
4 6 16 4 20
Cartesian
9.6816 1.7890 3.3400
5.1358 2.7633 1.6700
3.9559 6.3413 1.6700
8.5018 16.4204 3.3400
11.8192 3.9252 3.4062
9.0917 9.1047 2.5833
10.9101 8.4775 5.0762
13.6375 13.6570 4.2533
7.2733 9.7318 5.0762
6.3642 14.2842 3.4062
12.1088 8.2529 2.3295
7.4741 4.7275 2.4679
8.9579 4.7361 3.2561
8.2752 6.2153 2.6720
15.2551 9.2798 4.1379
14.4540 10.7677 4.3420
7.5630 5.4041 3.9995
13.7714 9.2885 4.9261
9.9082 11.9940 2.6720
10.7093 13.4819 2.4679
6.0746 9.9565 2.3295
10.6204 12.8052 3.9995
9.2255 13.4732 3.2561
12.8211 16.5464 4.3420
2.9283 8.9295 4.1379
13.5037 18.0255 4.9261
8.0719 5.2852 3.1073
14.6574 9.8376 4.7773
10.1115 12.9241 3.1073
12.6177 17.4764 4.7773
8.1587 1.7611 2.4826
3.6129 2.7912 0.8126
10.2459 3.4659 3.2893
5.4788 6.3135 0.8126
8.6833 7.7941 1.7006
11.8486 5.3125 4.2497
9.5001 10.4153 1.7006
14.0459 12.3464 3.3707
10.3888 8.7079 3.5171
12.4834 8.0182 4.9593
4.1374 5.8630 3.3707
7.7946 9.5015 3.5171
0.9330 7.3435 2.4826
14.9346 14.0538 5.1871
12.3405 13.2602 5.1871
10.8806 9.8648 5.9197
7.9375 14.7435 3.2893
16.3945 17.4492 5.9197
5.7000 10.1911 4.9593
6.3348 12.8968 4.2497
```

Principal peaks in the range 2θ = 10–80°, by intensity:
2θ (°)  d (Å)  I/Imax
13.76  6.433  100
31.65  2.827  82
20.37  4.360  82
14.94  5.929  58
28.36  3.147  56
28.47  3.135  50
21.84  4.069  37
37.45  2.401  21
19.50  4.551  17
30.15  2.964  15

(8)
For DyFeCu, DFT lattice parameters and positions (GGA-PBE) gives the computed PXRD pattern in this record (λ = 1.5418 Å (Cu Kα)).
Lines closer than 0.1° are merged.

Structure:
```
DyFeCu
1.0
-2.5317 2.5532 3.7805
2.5317 -2.5532 3.7805
2.5317 2.5532 -3.7805
Dy Fe Cu
2 2 2
Cartesian
0.0000 1.2766 0.9150
2.5317 1.2766 2.8656
1.2659 1.2766 -1.8903
1.2659 -1.2766 1.8903
2.5317 0.0000 0.0000
0.0000 0.0000 3.7805
```

Principal peaks in the range 2θ = 10–80°, by intensity:
2θ (°)  d (Å)  I/Imax
34.42  2.605  100
39.92  2.258  82
41.37  2.183  81
41.57  2.173  66
72.57  1.303  35
35.46  2.532  26
35.15  2.553  21
64.27  1.449  19
43.00  2.104  19
67.69  1.384  18